# 1
This entry pairs a crystal structure of PrMg11Al with its simulated X-ray powder pattern. Radiation: λ = 1.5418 Å (Cu Kα). Structure: a cell relaxed with PBE.

Top 8 peaks for 15 to 90 degrees two-theta, by angle:
Position (°2θ)  I/Imax
17.42  55
24.68  56
24.87  24
30.36  46
30.49  28
35.15  82
35.30  100
35.50  25

Atomic structure:
```
PrMg11Al
1.0
2.9404 -7.2316 0.0000
2.9404 7.2316 0.0000
-2.8858 0.0000 7.1633
Pr Mg Al
1 11 1
Direct
0.0000 0.0000 0.0000
0.0000 0.0000 0.5000
0.0000 0.5000 0.0000
0.0068 0.3543 0.3555
0.2897 0.5001 0.7843
0.3543 0.0068 0.3555
0.5000 0.0000 0.0000
0.5001 0.2897 0.7843
0.4999 0.7103 0.2157
0.6457 0.9932 0.6445
0.7103 0.4999 0.2157
0.9932 0.6457 0.6445
0.5000 0.5000 0.5000
```



# 2
This entry pairs a crystal structure of Pr6Mg2Al with its simulated X-ray powder pattern. Radiation: λ = 1.5418 Å (Cu Kα). Structure: a cell relaxed with PBE.

Top 8 peaks for 15 to 90 degrees two-theta, by angle:
Position (°2θ)  I/Imax
24.41  27
26.39  23
28.52  24
29.56  100
31.15  51
31.92  22
32.84  47
33.00  38

Atomic structure:
```
Pr6Mg2Al
1.0
-4.9049 5.3960 5.4548
4.9049 -5.3960 5.4548
4.9049 5.3960 -5.4548
Pr Mg Al
12 4 2
Direct
0.0649 0.2449 0.8200
0.2515 0.5736 0.3221
0.2515 0.9295 0.6779
0.3063 0.2390 0.5453
0.3063 0.7610 0.0673
0.4248 0.2449 0.1800
0.5752 0.7551 0.8200
0.6937 0.2390 0.9327
0.6937 0.7610 0.4547
0.7485 0.0705 0.3221
0.7485 0.4264 0.6779
0.9351 0.7551 0.1800
0.0000 0.1445 0.1445
0.0000 0.8555 0.8555
0.1302 0.5000 0.6302
0.8698 0.5000 0.3698
0.5000 0.0000 0.5000
0.5000 0.5000 0.0000
```



# 3
This entry pairs a crystal structure of Pr4MgAl with its simulated X-ray powder pattern. Radiation: λ = 1.5418 Å (Cu Kα). Structure: a cell relaxed with PBE.

Top 8 peaks for 15 to 90 degrees two-theta, by angle:
Position (°2θ)  I/Imax
19.21  87
28.91  100
30.34  61
31.63  32
33.94  27
34.21  71
35.66  53
38.33  23

Atomic structure:
```
Pr4MgAl
1.0
5.9122 0.0000 0.0000
0.0000 3.6266 0.0000
-0.7703 0.0000 9.2428
Pr Mg Al
4 1 1
Direct
0.0105 0.0000 0.2186
0.4745 0.5000 0.6893
0.5255 0.5000 0.3107
0.9895 0.0000 0.7814
0.5000 0.0000 0.0000
0.0000 0.5000 0.5000
```



# 4
This entry pairs a crystal structure of PrMg2Al2Zn with its simulated X-ray powder pattern. Radiation: λ = 1.5418 Å (Cu Kα). Structure: a cell relaxed with PBE.

Top 8 peaks for 15 to 90 degrees two-theta, by angle:
Position (°2θ)  I/Imax
20.93  47
26.09  34
29.50  42
31.36  100
42.21  34
43.78  51
47.56  22
61.52  20

Atomic structure:
```
PrMg2Al2Zn
1.0
-2.1411 2.1411 8.4905
2.1411 -2.1411 8.4905
2.1411 2.1411 -8.4905
Pr Mg Al Zn
1 2 2 1
Direct
0.0000 0.0000 0.0000
0.2500 0.7500 0.5000
0.7500 0.2500 0.5000
0.3621 0.3621 0.0000
0.6379 0.6379 0.0000
0.5000 0.5000 0.0000
```



# 5
This entry pairs a crystal structure of Mg2Al12Pt7 with its simulated X-ray powder pattern. Radiation: λ = 1.5418 Å (Cu Kα). Structure: a cell relaxed with PBE.

Top 8 peaks for 15 to 90 degrees two-theta, by angle:
Position (°2θ)  I/Imax
25.44  100
27.50  29
30.76  24
32.28  23
36.49  25
43.88  28
44.83  41
71.78  20

Atomic structure:
```
Mg2Al12Pt7
1.0
10.6976 0.0000 0.0000
-5.3488 9.2644 0.0000
0.0000 0.0000 3.4626
Mg Al Pt
2 12 7
Direct
0.0000 0.0000 0.0000
0.3333 0.6667 0.5000
0.0542 0.2787 0.5000
0.1102 0.7178 0.0000
0.2245 0.9458 0.5000
0.2822 0.3923 0.0000
0.3956 0.1644 0.0000
0.5138 0.4144 0.5000
0.5856 0.0994 0.5000
0.6077 0.8898 0.0000
0.7213 0.7755 0.5000
0.7688 0.6044 0.0000
0.8356 0.2312 0.0000
0.9006 0.4862 0.5000
0.0818 0.4684 0.0000
0.2411 0.1957 0.5000
0.3866 0.9182 0.0000
0.5316 0.6134 0.0000
0.6667 0.3333 0.0000
0.8043 0.0454 0.5000
0.9546 0.7589 0.5000
```



# 6
This entry pairs a crystal structure of Mg3Al7Pt4 with its simulated X-ray powder pattern. Radiation: λ = 1.5418 Å (Cu Kα). Structure: a cell relaxed with PBE.

Top 8 peaks for 15 to 90 degrees two-theta, by angle:
Position (°2θ)  I/Imax
22.17  61
23.68  47
24.47  49
26.93  100
28.34  48
37.83  41
44.03  82
44.59  39

Atomic structure:
```
Mg3Al7Pt4
1.0
7.3518 -2.0554 0.0000
7.3518 2.0554 0.0000
-4.8291 0.0000 8.0180
Mg Al Pt
3 7 4
Direct
0.0000 0.0000 0.0000
0.3102 0.3102 0.3017
0.6898 0.6898 0.6983
0.0000 0.0000 0.5000
0.1635 0.1635 0.4255
0.3170 0.3170 0.9822
0.4925 0.4925 0.7069
0.5075 0.5075 0.2931
0.6830 0.6830 0.0178
0.8365 0.8365 0.5745
0.1126 0.1126 0.8222
0.3290 0.3290 0.7236
0.6710 0.6710 0.2764
0.8874 0.8874 0.1778
```



# 7
This entry pairs a crystal structure of Mg2Al2Pt with its simulated X-ray powder pattern. Radiation: λ = 1.5418 Å (Cu Kα). Structure: a cell relaxed with PBE.

Top 8 peaks for 15 to 90 degrees two-theta, by angle:
Position (°2θ)  I/Imax
19.19  92
20.54  63
27.27  39
28.25  100
34.38  79
43.76  57
48.80  53
62.10  41

Atomic structure:
```
Mg2Al2Pt
1.0
6.5411 0.0000 0.0000
0.0000 6.5411 0.0000
0.0000 0.0000 4.3248
Mg Al Pt
4 4 2
Direct
0.1682 0.3318 0.0000
0.3318 0.8318 0.0000
0.6682 0.1682 0.0000
0.8318 0.6682 0.0000
0.1399 0.6399 0.5000
0.3601 0.1399 0.5000
0.6399 0.8601 0.5000
0.8601 0.3601 0.5000
0.0000 0.0000 0.5000
0.5000 0.5000 0.5000
```



# 8
This entry pairs a crystal structure of MgAl2Pt2 with its simulated X-ray powder pattern. Radiation: λ = 1.5418 Å (Cu Kα). Structure: a cell relaxed with PBE.

Top 8 peaks for 15 to 90 degrees two-theta, by angle:
Position (°2θ)  I/Imax
22.63  24
23.33  22
28.05  16
28.58  40
29.75  43
41.71  100
43.38  18
51.38  16

Atomic structure:
```
MgAl2Pt2
1.0
4.1722 0.0000 0.0000
0.0000 4.3269 0.0000
0.0000 0.0000 9.3824
Mg Al Pt
2 4 4
Direct
0.2500 0.2500 0.1849
0.7500 0.7500 0.8151
0.2500 0.2500 0.5002
0.2500 0.2500 0.8282
0.7500 0.7500 0.1718
0.7500 0.7500 0.4998
0.2500 0.7500 0.0029
0.2500 0.7500 0.3470
0.7500 0.2500 0.6530
0.7500 0.2500 0.9971
```



# 9
This entry pairs a crystal structure of MgAlPt2 with its simulated X-ray powder pattern. Radiation: λ = 1.5418 Å (Cu Kα). Structure: a cell relaxed with PBE.

Top 8 peaks for 15 to 90 degrees two-theta, by angle:
Position (°2θ)  I/Imax
25.86  87
29.64  62
30.66  57
39.73  100
40.53  95
43.17  79
51.01  57
70.80  37

Atomic structure:
```
MgAlPt2
1.0
3.0136 -3.4459 0.0000
3.0136 3.4459 0.0000
0.0000 0.0000 2.9161
Mg Al Pt
1 1 2
Direct
0.0000 0.0000 0.0000
0.5000 0.5000 0.0000
0.0000 0.5000 0.5000
0.5000 0.0000 0.5000
```



# 10
This entry pairs a crystal structure of MgAl3Pt2 with its simulated X-ray powder pattern. Radiation: λ = 1.5418 Å (Cu Kα). Structure: a cell relaxed with PBE.

Top 8 peaks for 15 to 90 degrees two-theta, by angle:
Position (°2θ)  I/Imax
22.17  59
23.36  100
26.64  56
28.72  63
29.84  45
42.93  44
43.67  52
45.58  42

Atomic structure:
```
MgAl3Pt2
1.0
8.6939 -2.0727 0.0000
8.6939 2.0727 0.0000
-3.9975 0.0000 8.5345
Mg Al Pt
3 9 6
Direct
0.0000 0.0000 0.0000
0.1646 0.1646 0.6933
0.8354 0.8354 0.3067
0.0306 0.0306 0.3474
0.2071 0.2071 0.3982
0.3104 0.3104 0.0385
0.3838 0.3838 0.8317
0.5000 0.5000 0.5000
0.6162 0.6162 0.1683
0.6896 0.6896 0.9615
0.7929 0.7929 0.6018
0.9694 0.9694 0.6526
0.1923 0.1923 0.1258
0.3647 0.3647 0.5457
0.4678 0.4678 0.1829
0.5322 0.5322 0.8171
0.6353 0.6353 0.4543
0.8077 0.8077 0.8742
```



# 11
This entry pairs a crystal structure of Sr2MgAl3Pt4 with its simulated X-ray powder pattern. Radiation: λ = 1.5418 Å (Cu Kα). Structure: a cell relaxed with PBE.

Top 8 peaks for 15 to 90 degrees two-theta, by angle:
Position (°2θ)  I/Imax
25.67  38
26.41  47
29.76  83
32.77  41
33.36  100
40.70  72
45.28  45
48.74  28

Atomic structure:
```
Sr2MgAl3Pt4
1.0
4.4338 0.0000 0.0000
0.0000 4.4338 0.0000
0.0000 0.0000 10.4110
Sr Mg Al Pt
2 1 3 4
Direct
0.0000 0.5000 0.2419
0.5000 0.0000 0.7581
0.0000 0.0000 0.5000
0.0000 0.5000 0.8818
0.5000 0.0000 0.1182
0.5000 0.5000 0.5000
0.0000 0.0000 0.0000
0.0000 0.5000 0.6379
0.5000 0.0000 0.3621
0.5000 0.5000 0.0000
```



# 12
This entry pairs a crystal structure of PuMg2Al10 with its simulated X-ray powder pattern. Radiation: λ = 1.5418 Å (Cu Kα). Structure: a cell relaxed with PBE.

Top 8 peaks for 15 to 90 degrees two-theta, by angle:
Position (°2θ)  I/Imax
18.61  72
19.05  29
26.45  55
27.05  44
33.05  54
37.75  100
38.65  32
39.08  44

Atomic structure:
```
PuMg2Al10
1.0
0.0000 6.4508 6.7377
2.7743 0.0000 6.7377
2.7743 6.4508 0.0000
Pu Mg Al
1 2 10
Direct
0.0000 0.0000 0.0000
0.0000 0.5000 0.0000
0.5000 0.0000 0.5000
0.0000 0.0000 0.5000
0.0102 0.6449 0.3551
0.2885 0.5053 0.4947
0.3551 0.9898 0.0102
0.4947 0.7115 0.2885
0.5000 0.5000 0.0000
0.5053 0.2885 0.7115
0.6449 0.0102 0.9898
0.7115 0.4947 0.5053
0.9898 0.3551 0.6449
```